Record 1
Lu2FeS4: simulated powder X-ray diffraction pattern (Cu Ka), based on a DFT-relaxed cell (GGA-PBE, the Materials Project).
No peak broadening, texture or thermal motion is included.

Largest 6 diffraction maxima, low angle first, 2θ from 10° to 80°:
- 2θ 13.89, rel. 31
- 2θ 27.34, rel. 21
- 2θ 27.57, rel. 31
- 2θ 28.71, rel. 23
- 2θ 33.14, rel. 100
- 2θ 46.92, rel. 32

Cell and atoms:
Cell: 7.5953 7.7432 25.0198 Å, 82.01 81.35 60.73°
Space group P1 (No. 1)
Asymmetric unit:
Lu  0.0000  0.0000  0.0000 x1
Lu  0.0010  0.4923  0.4939 x1
Lu  0.1241  0.1219  0.1237 x1
Lu  0.1312  0.6136  0.1258 x1
Lu  0.1382  0.6120  0.6231 x1
Lu  0.3790  0.3659  0.3703 x1
Lu  0.3801  0.8689  0.3697 x1
Lu  0.3906  0.8613  0.8666 x1
Lu  0.5280  0.9435  0.0007 x1
Lu  0.6264  0.6124  0.6233 x1
Lu  0.6275  0.1221  0.6216 x1
Lu  0.6312  0.1220  0.1239 x1
Lu  0.7562  0.7374  0.7504 x1
Lu  0.7616  0.2416  0.2502 x1
Lu  0.8770  0.3783  0.8678 x1
Lu  0.8816  0.8616  0.8667 x1
Fe  0.0978  0.0902  0.7147 x1
Fe  0.1854  0.0975  0.5329 x1
Fe  0.3343  0.3716  0.9605 x1
Fe  0.5126  0.4916  0.4944 x1
Fe  0.5783  0.6366  0.2065 x1
Fe  0.8210  0.8916  0.4568 x1
Fe  0.8839  0.3656  0.3709 x1
Fe  0.9370  0.8439  0.2915 x1
S  0.0568  0.0480  0.3139 x1
S  0.0575  0.5558  0.8110 x1
S  0.0578  0.5199  0.3171 x1
S  0.0651  0.0601  0.8101 x1
S  0.1818  0.7030  0.9340 x1
S  0.1917  0.1769  0.4344 x1
S  0.1946  0.6782  0.4350 x1
S  0.2082  0.1678  0.9376 x1
S  0.3037  0.8084  0.0629 x1
S  0.3178  0.3035  0.5550 x1
S  0.3219  0.2975  0.0595 x1
S  0.3420  0.7624  0.5541 x1
S  0.4306  0.9567  0.1830 x1
S  0.4479  0.9285  0.6815 x1
S  0.4486  0.4252  0.6777 x1
S  0.4521  0.4358  0.1854 x1
S  0.5700  0.5549  0.3082 x1
S  0.5759  0.5553  0.8109 x1
S  0.5772  0.0363  0.8098 x1
S  0.5843  0.0468  0.3117 x1
S  0.6858  0.2299  0.4332 x1
S  0.6865  0.1681  0.9376 x1
S  0.6905  0.6780  0.4343 x1
S  0.6945  0.6782  0.9329 x1
S  0.8214  0.8003  0.5563 x1
S  0.8243  0.3017  0.5560 x1
S  0.8253  0.8083  0.0630 x1
S  0.8270  0.2832  0.0636 x1
S  0.9278  0.4375  0.1847 x1
S  0.9420  0.9286  0.6814 x1
S  0.9430  0.4318  0.6823 x1
S  0.9434  0.9258  0.1894 x1

Record 2
Sr2LuBiO6: simulated powder X-ray diffraction pattern (Cu Ka), based on a DFT-relaxed cell (GGA-PBE, the Materials Project).
No peak broadening, texture or thermal motion is included.

Largest 6 diffraction maxima, low angle first, 2θ from 10° to 80°:
- 2θ 21.11, rel. 35
- 2θ 29.74, rel. 25
- 2θ 30.03, rel. 100
- 2θ 30.26, rel. 24
- 2θ 42.98, rel. 38
- 2θ 53.62, rel. 23

Cell and atoms:
Cell: 5.9067 6.0073 10.2676 Å, 90.00 125.02 90.00°
Space group P2_1/c (No. 14)
Asymmetric unit:
Sr  0.2401  0.0409  0.2498 x4
Lu  0.5000  0.0000  0.0000 x2
Bi  0.0000  0.0000  0.5000 x2
O  0.1565  0.2111  0.9536 x4
O  0.2436  0.7055  0.9543 x4
O  0.3334  0.0287  0.7465 x4

Record 3
CsMg6Mn: simulated powder X-ray diffraction pattern (Cu Ka), based on a DFT-relaxed cell (GGA-PBE, the Materials Project).
No peak broadening, texture or thermal motion is included.

Largest 6 diffraction maxima, low angle first, 2θ from 10° to 80°:
- 2θ 14.84, rel. 53
- 2θ 22.29, rel. 38
- 2θ 22.45, rel. 42
- 2θ 33.88, rel. 35
- 2θ 34.05, rel. 41
- 2θ 34.49, rel. 100

Cell and atoms:
Cell: 5.2920 6.8575 12.1407 Å, 90.00 90.00 90.00°
Space group Amm2 (No. 38)
Asymmetric unit:
Cs  0.0000  0.0000  0.0000 x2
Mg  0.0000  0.0000  0.4985 x2
Mg  0.0000  0.2319  0.2479 x4
Mg  0.5000  0.0000  0.6678 x2
Mg  0.5000  0.2221  0.3990 x4
Mn  0.5000  0.0000  0.1992 x2

Record 4
Y2IrRh: simulated powder X-ray diffraction pattern (Cu Ka), based on a DFT-relaxed cell (GGA-PBE, the Materials Project).
No peak broadening, texture or thermal motion is included.

Largest 6 diffraction maxima, low angle first, 2θ from 10° to 80°:
- 2θ 22.38, rel. 7
- 2θ 25.90, rel. 7
- 2θ 36.95, rel. 100
- 2θ 53.25, rel. 17
- 2θ 66.58, rel. 35
- 2θ 78.66, rel. 11

Cell and atoms:
Cell: 6.8810 6.8810 6.8810 Å, 90.00 90.00 90.00°
Space group Fm-3m (No. 225)
Asymmetric unit:
Y  0.2500  0.2500  0.2500 x8
Ir  0.0000  0.0000  0.0000 x4
Rh  0.0000  0.0000  0.5000 x4

Record 5
Sr2Cu2O3: simulated powder X-ray diffraction pattern (Cu Ka), based on a DFT-relaxed cell (GGA-PBE, the Materials Project).
No peak broadening, texture or thermal motion is included.

Largest 6 diffraction maxima, low angle first, 2θ from 10° to 80°:
- 2θ 12.10, rel. 100
- 2θ 15.31, rel. 12
- 2θ 28.87, rel. 28
- 2θ 29.25, rel. 22
- 2θ 32.23, rel. 37
- 2θ 38.40, rel. 25

Cell and atoms:
Cell: 4.1600 11.5759 14.6325 Å, 90.00 90.00 90.00°
Space group Fmmm (No. 69)
Asymmetric unit:
Sr  0.0000  0.0000  0.1096 x8
Cu  0.0000  0.1701  0.5000 x8
O  0.0000  0.0000  0.5000 x4
O  0.0000  0.1620  0.0000 x8

Record 6
NdAlSi: simulated powder X-ray diffraction pattern (Cu Ka), based on a DFT-relaxed cell (GGA-PBE, the Materials Project).
No peak broadening, texture or thermal motion is included.

Largest 6 diffraction maxima, low angle first, 2θ from 10° to 80°:
- 2θ 21.94, rel. 39
- 2θ 27.97, rel. 51
- 2θ 32.43, rel. 100
- 2θ 37.40, rel. 42
- 2θ 42.90, rel. 31
- 2θ 48.64, rel. 30

Cell and atoms:
Cell: 4.2164 4.2164 14.6346 Å, 90.00 90.00 90.00°
Space group I4_1md (No. 109)
Asymmetric unit:
Nd  0.0000  0.0000  0.0000 x4
Al  0.0000  0.0000  0.5841 x4
Si  0.0000  0.0000  0.4181 x4

Record 7
Sr7ZrN6: simulated powder X-ray diffraction pattern (Cu Ka), based on a DFT-relaxed cell (GGA-PBE, the Materials Project).
No peak broadening, texture or thermal motion is included.

Largest 6 diffraction maxima, low angle first, 2θ from 10° to 80°:
- 2θ 27.89, rel. 28
- 2θ 28.84, rel. 29
- 2θ 29.18, rel. 24
- 2θ 29.51, rel. 100
- 2θ 32.41, rel. 31
- 2θ 32.64, rel. 39

Cell and atoms:
Cell: 12.3835 6.8196 13.8796 Å, 90.00 90.00 90.00°
Space group Pbcn (No. 60)
Asymmetric unit:
Sr  0.0000  0.0148  0.2500 x4
Sr  0.0421  0.2242  0.5046 x8
Sr  0.2219  0.3807  0.1200 x8
Sr  0.2258  0.3566  0.8713 x8
Zr  0.0000  0.4852  0.7500 x4
N  0.0957  0.3261  0.3337 x8
N  0.1124  0.2957  0.6823 x8
N  0.1586  0.1055  0.9978 x8

Record 8
LuMgSe3: simulated powder X-ray diffraction pattern (Cu Ka), based on a DFT-relaxed cell (GGA-PBE, the Materials Project).
No peak broadening, texture or thermal motion is included.

Largest 6 diffraction maxima, low angle first, 2θ from 10° to 80°:
- 2θ 14.06, rel. 100
- 2θ 16.13, rel. 57
- 2θ 25.75, rel. 52
- 2θ 27.96, rel. 64
- 2θ 29.61, rel. 76
- 2θ 43.68, rel. 87

Cell and atoms:
Cell: 7.4224 12.5968 6.8570 Å, 90.00 118.37 90.00°
Space group C2/m (No. 12)
Asymmetric unit:
Lu  0.2001  0.0000  0.3092 x4
Mg  0.0000  0.3344  0.0000 x4
Se  0.0372  0.5000  0.2581 x4
Se  0.0480  0.1684  0.7829 x8